(1)
Theoretical XRD peak list of CdMoPt2 for Cu Kα (weighted mean of Kα1 and Kα2), from DFT lattice parameters and positions (PBE).
Peak positions follow from Bragg's law for the DFT cell and can differ from measured ones.

Structure:
```
data_CdMoPt2
_chemical_formula_sum 'Cd1 Mo1 Pt2'
_symmetry_space_group_name_H-M 'P 4/m m m'
_symmetry_Int_Tables_number 123
_symmetry_space_group_name_Hall '-P 4 2'
_cell_length_a 2.837
_cell_length_b 2.837
_cell_length_c 8.190
_cell_angle_alpha 90.00
_cell_angle_beta 90.00
_cell_angle_gamma 90.00
loop_
_atom_site_label
_atom_site_type_symbol
_atom_site_fract_x
_atom_site_fract_y
_atom_site_fract_z
_atom_site_occupancy
Cd1 Cd 0.000 0.000 0.000 1
Mo1 Mo 0.000 0.000 0.500 1
Pt1 Pt 0.500 0.500 0.268 1
```

Most intense lines, 5° ≤ 2θ ≤ 70°, by angle:
(0 0 2), 21.70°, rel. 8
(1 0 0), 31.53°, rel. 7
(0 0 3), 32.81°, rel. 2
(1 0 2), 38.61°, rel. 100
(0 0 4), 44.24°, rel. 15
(1 1 0), 45.20°, rel. 33
(1 0 3), 46.14°, rel. 2
(1 1 2), 50.67°, rel. 4
(1 1 4), 65.09°, rel. 19
(2 0 0), 65.83°, rel. 14

(2)
Theoretical XRD peak list of Ag2Pd7Pt2 for Cu Kα (weighted mean of Kα1 and Kα2), from DFT lattice parameters and positions (PBE).
Peak positions follow from Bragg's law for the DFT cell and can differ from measured ones.

Structure:
```
data_Ag2Pd7Pt2
_chemical_formula_sum 'Ag4 Pd14 Pt4'
_symmetry_space_group_name_H-M 'C 1 2/m 1'
_symmetry_Int_Tables_number 12
_cell_length_a 7.031
_cell_length_b 8.492
_cell_length_c 6.381
_cell_angle_alpha 90.00
_cell_angle_beta 105.87
_cell_angle_gamma 90.00
loop_
_symmetry_equiv_pos_as_xyz
'x,y,z'
'-x,-y,-z'
'-x,y,-z'
'x,-y,z'
'x+1/2,y+1/2,z'
'-x+1/2,-y+1/2,-z'
'-x+1/2,y+1/2,-z'
'x+1/2,-y+1/2,z'
loop_
_atom_site_label
_atom_site_type_symbol
_atom_site_fract_x
_atom_site_fract_y
_atom_site_fract_z
_atom_site_occupancy
Ag1 Ag 0.095 0.000 0.332 1
Pd1 Pd 0.000 0.500 0.500 1
Pd2 Pd 0.179 0.228 0.673 1
Pd3 Pd 0.200 0.500 0.983 1
Pt1 Pt 0.000 0.230 0.000 1
```

Most intense lines, 5° ≤ 2θ ≤ 70°, by angle:
(2 0 -2), 33.63°, rel. 10
(2 2 -1), 33.91°, rel. 8
(1 3 1), 38.88°, rel. 7
(2 2 1), 39.92°, rel. 100
(3 1 -1), 40.09°, rel. 11
(0 4 0), 42.59°, rel. 23
(1 3 -2), 43.05°, rel. 9
(0 0 3), 44.27°, rel. 17
(4 0 -1), 52.02°, rel. 8
(0 4 3), 63.11°, rel. 10

(3)
Theoretical XRD peak list of Ba2SrCa3Mg2Si4O16 for Cu Kα (weighted mean of Kα1 and Kα2), from DFT lattice parameters and positions (PBE).
Peak positions follow from Bragg's law for the DFT cell and can differ from measured ones.

Structure:
```
data_Ba2SrCa3Mg2Si4O16
_chemical_formula_sum 'Ba2 Sr1 Ca3 Mg2 Si4 O16'
_symmetry_space_group_name_H-M 'P 1'
_symmetry_Int_Tables_number 1
_cell_length_a 5.509
_cell_length_b 6.948
_cell_length_c 9.541
_cell_angle_alpha 89.99
_cell_angle_beta 89.96
_cell_angle_gamma 89.99
loop_
_symmetry_equiv_pos_as_xyz
'x,y,z'
loop_
_atom_site_label
_atom_site_type_symbol
_atom_site_fract_x
_atom_site_fract_y
_atom_site_fract_z
_atom_site_occupancy
Ba1 Ba 0.000 0.000 0.000 1
Ba2 Ba 0.496 0.001 0.498 1
Sr1 Sr 0.996 0.340 0.667 1
Ca1 Ca 0.498 0.667 0.834 1
Ca2 Ca 0.502 0.334 0.164 1
Ca3 Ca 0.998 0.666 0.331 1
Mg1 Mg 0.498 0.501 0.497 1
Mg2 Mg 0.998 0.500 0.001 1
Si1 Si 0.498 0.772 0.166 1
Si2 Si 0.499 0.229 0.835 1
Si3 Si 0.996 0.230 0.329 1
Si4 Si 0.998 0.769 0.665 1
O1 O 0.002 0.000 0.665 1
O2 O 0.061 0.674 0.822 1
O3 O 0.200 0.674 0.555 1
O4 O 0.234 0.675 0.119 1
O5 O 0.258 0.326 0.381 1
O6 O 0.288 0.324 0.938 1
O7 O 0.460 0.324 0.677 1
O8 O 0.496 0.005 0.166 1
O9 O 0.497 0.995 0.834 1
O10 O 0.562 0.678 0.322 1
O11 O 0.702 0.678 0.057 1
O12 O 0.731 0.677 0.619 1
O13 O 0.757 0.322 0.894 1
O14 O 0.783 0.324 0.431 1
O15 O 0.940 0.324 0.173 1
O16 O 0.999 0.996 0.331 1
```

Most intense lines, 5° ≤ 2θ ≤ 70°, by angle:
(1 1 1), 22.61°, rel. 58
(0 2 2), 31.87°, rel. 84
(1 0 3), 32.51°, rel. 100
(2 1 0), 35.05°, rel. 21
(0 3 0), 38.88°, rel. 20
(0 1 4), 39.96°, rel. 29
(2 2 2), 46.16°, rel. 49
(1 3 3), 51.56°, rel. 18
(3 2 -1), 57.59°, rel. 30
(3 0 3), 58.00°, rel. 21

(4)
Theoretical XRD peak list of LiBiCl3 for Cu Kα (weighted mean of Kα1 and Kα2), from DFT lattice parameters and positions (PBE).
Peak positions follow from Bragg's law for the DFT cell and can differ from measured ones.

Structure:
```
data_LiBiCl3
_chemical_formula_sum 'Li6 Bi6 Cl18'
_symmetry_space_group_name_H-M 'R -3'
_symmetry_Int_Tables_number 148
_symmetry_space_group_name_Hall '-R 3'
_cell_length_a 7.0650
_cell_length_b 7.0650
_cell_length_c 18.3786
_cell_angle_alpha 90.00
_cell_angle_beta 90.00
_cell_angle_gamma 120.00
loop_
_atom_site_label
_atom_site_type_symbol
_atom_site_fract_x
_atom_site_fract_y
_atom_site_fract_z
_atom_site_occupancy
Li1 Li 0.0000 0.0000 0.1636 1
Bi1 Bi 0.0000 0.0000 0.4144 1
Cl1 Cl 0.0094 0.6264 0.4212 1
```

Most intense lines, 5° ≤ 2θ ≤ 70°, by angle:
(1 0 1), 15.26°, rel. 100
(0 1 2), 17.41°, rel. 20
(1 1 0), 25.21°, rel. 31
(0 1 5), 28.32°, rel. 29
(0 0 6), 29.16°, rel. 41
(0 2 1), 29.60°, rel. 36
(2 0 5), 38.28°, rel. 20
(2 1 1), 39.27°, rel. 24
(3 0 0), 44.42°, rel. 23
(0 3 6), 54.02°, rel. 25

(5)
Theoretical XRD peak list of Nd3Al7Pt4 for Cu Kα (weighted mean of Kα1 and Kα2), from DFT lattice parameters and positions (PBE).
Peak positions follow from Bragg's law for the DFT cell and can differ from measured ones.

Structure:
```
data_Nd3Al7Pt4
_chemical_formula_sum 'Nd6 Al14 Pt8'
_symmetry_space_group_name_H-M 'C 1 2/m 1'
_symmetry_Int_Tables_number 12
_cell_length_a 15.979
_cell_length_b 4.318
_cell_length_c 9.577
_cell_angle_alpha 90.00
_cell_angle_beta 125.12
_cell_angle_gamma 90.00
loop_
_symmetry_equiv_pos_as_xyz
'x,y,z'
'-x,-y,-z'
'-x,y,-z'
'x,-y,z'
'x+1/2,y+1/2,z'
'-x+1/2,-y+1/2,-z'
'-x+1/2,y+1/2,-z'
'x+1/2,-y+1/2,z'
loop_
_atom_site_label
_atom_site_type_symbol
_atom_site_fract_x
_atom_site_fract_y
_atom_site_fract_z
_atom_site_occupancy
Nd1 Nd 0.000 0.000 0.000 1
Nd2 Nd 0.190 0.500 0.693 1
Al1 Al 0.000 0.000 0.500 1
Al2 Al 0.003 0.500 0.291 1
Al3 Al 0.157 0.000 0.426 1
Al4 Al 0.182 0.500 0.028 1
Pt1 Pt 0.119 0.000 0.846 1
Pt2 Pt 0.158 0.500 0.282 1
```

Most intense lines, 5° ≤ 2θ ≤ 70°, by angle:
(0 0 2), 22.70°, rel. 49
(1 1 1), 26.29°, rel. 94
(3 1 -1), 26.58°, rel. 63
(3 1 0), 29.12°, rel. 57
(2 0 2), 32.72°, rel. 46
(1 1 2), 34.40°, rel. 79
(3 1 -3), 34.97°, rel. 100
(5 1 -2), 35.08°, rel. 77
(6 0 -3), 35.35°, rel. 54
(0 2 0), 41.84°, rel. 77

(6)
Theoretical XRD peak list of PuO2F4 for Cu Kα (weighted mean of Kα1 and Kα2), from DFT lattice parameters and positions (PBE).
Peak positions follow from Bragg's law for the DFT cell and can differ from measured ones.

Structure:
```
data_PuO2F4
_chemical_formula_sum 'Pu1 O2 F4'
_symmetry_space_group_name_H-M 'P -1'
_symmetry_Int_Tables_number 2
_cell_length_a 3.792
_cell_length_b 3.853
_cell_length_c 7.877
_cell_angle_alpha 90.39
_cell_angle_beta 90.38
_cell_angle_gamma 90.93
loop_
_symmetry_equiv_pos_as_xyz
'x,y,z'
'-x,-y,-z'
loop_
_atom_site_label
_atom_site_type_symbol
_atom_site_fract_x
_atom_site_fract_y
_atom_site_fract_z
_atom_site_occupancy
Pu1 Pu 0.000 0.000 0.000 1
O1 O 0.213 0.332 0.493 1
F1 F 0.009 0.510 0.845 1
F2 F 0.497 0.982 0.156 1
```

Most intense lines, 5° ≤ 2θ ≤ 70°, by angle:
(0 0 1), 11.23°, rel. 100
(0 0 2), 22.58°, rel. 20
(0 1 0), 23.09°, rel. 16
(1 0 0), 23.46°, rel. 19
(0 1 -1), 25.67°, rel. 16
(0 1 1), 25.82°, rel. 16
(1 0 -1), 26.01°, rel. 13
(1 0 -2), 32.65°, rel. 15
(1 0 2), 32.89°, rel. 13
(1 -1 2), 40.25°, rel. 13

(7)
Theoretical XRD peak list of Dy2HoSb2 for Cu Kα (weighted mean of Kα1 and Kα2), from DFT lattice parameters and positions (PBE).
Peak positions follow from Bragg's law for the DFT cell and can differ from measured ones.

Structure:
```
data_Dy2HoSb2
_chemical_formula_sum 'Dy8 Ho4 Sb8'
_symmetry_space_group_name_H-M 'C 1 2/c 1'
_symmetry_Int_Tables_number 15
_cell_length_a 10.535
_cell_length_b 11.890
_cell_length_c 5.875
_cell_angle_alpha 90.00
_cell_angle_beta 123.20
_cell_angle_gamma 90.00
loop_
_symmetry_equiv_pos_as_xyz
'x,y,z'
'-x,-y,-z'
'-x,y,-z+1/2'
'x,-y,z+1/2'
'x+1/2,y+1/2,z'
'-x+1/2,-y+1/2,-z'
'-x+1/2,y+1/2,-z+1/2'
'x+1/2,-y+1/2,z+1/2'
loop_
_atom_site_label
_atom_site_type_symbol
_atom_site_fract_x
_atom_site_fract_y
_atom_site_fract_z
_atom_site_occupancy
Dy1 Dy 0.179 0.096 0.388 1
Ho1 Ho 0.000 0.403 0.750 1
Sb1 Sb 0.000 0.131 0.750 1
Sb2 Sb 0.000 0.327 0.250 1
```

Most intense lines, 5° ≤ 2θ ≤ 70°, by angle:
(3 1 -1), 26.51°, rel. 30
(0 4 0), 30.06°, rel. 62
(2 0 -2), 30.43°, rel. 100
(3 1 0), 31.36°, rel. 52
(1 3 1), 33.92°, rel. 45
(3 3 -1), 34.15°, rel. 79
(0 4 1), 35.29°, rel. 41
(2 2 1), 37.26°, rel. 34
(4 2 -1), 37.57°, rel. 27
(2 4 -2), 43.31°, rel. 40

(8)
Theoretical XRD peak list of Ba2InAg6 for Cu Kα (weighted mean of Kα1 and Kα2), from DFT lattice parameters and positions (PBE).
Peak positions follow from Bragg's law for the DFT cell and can differ from measured ones.

Structure:
```
data_Ba2InAg6
_chemical_formula_sum 'Ba2 In1 Ag6'
_symmetry_space_group_name_H-M 'P -3 m 1'
_symmetry_Int_Tables_number 164
_symmetry_space_group_name_Hall '-P 3 2"'
_cell_length_a 6.5204
_cell_length_b 6.5204
_cell_length_c 6.3084
_cell_angle_alpha 90.00
_cell_angle_beta 90.00
_cell_angle_gamma 120.00
loop_
_atom_site_label
_atom_site_type_symbol
_atom_site_fract_x
_atom_site_fract_y
_atom_site_fract_z
_atom_site_occupancy
Ba1 Ba 0.3333 0.6667 0.1537 1
In1 In 0.0000 0.0000 0.0000 1
Ag1 Ag 0.1813 0.3626 0.6608 1
```

Most intense lines, 5° ≤ 2θ ≤ 70°, by angle:
(1 1 1), 30.87°, rel. 40
(2 0 0), 31.69°, rel. 15
(0 1 2), 32.51°, rel. 50
(2 0 1), 34.81°, rel. 100
(0 2 2), 43.00°, rel. 25
(1 2 2), 51.72°, rel. 20
(2 2 0), 56.45°, rel. 24
(1 2 3), 61.95°, rel. 18
(3 1 2), 66.68°, rel. 14
(0 4 1), 68.07°, rel. 18

(9)
Theoretical XRD peak list of Th3Zn7Ir4 for Cu Kα (weighted mean of Kα1 and Kα2), from DFT lattice parameters and positions (PBE).
Peak positions follow from Bragg's law for the DFT cell and can differ from measured ones.

Structure:
```
data_Th3Zn7Ir4
_chemical_formula_sum 'Th6 Zn14 Ir8'
_symmetry_space_group_name_H-M 'C 1 2/m 1'
_symmetry_Int_Tables_number 12
_cell_length_a 15.632
_cell_length_b 4.111
_cell_length_c 9.932
_cell_angle_alpha 90.00
_cell_angle_beta 124.15
_cell_angle_gamma 90.00
loop_
_symmetry_equiv_pos_as_xyz
'x,y,z'
'-x,-y,-z'
'-x,y,-z'
'x,-y,z'
'x+1/2,y+1/2,z'
'-x+1/2,-y+1/2,-z'
'-x+1/2,y+1/2,-z'
'x+1/2,-y+1/2,z'
loop_
_atom_site_label
_atom_site_type_symbol
_atom_site_fract_x
_atom_site_fract_y
_atom_site_fract_z
_atom_site_occupancy
Th1 Th 0.000 0.000 0.000 1
Th2 Th 0.200 0.500 0.717 1
Zn1 Zn 0.000 0.000 0.500 1
Zn2 Zn 0.018 0.500 0.318 1
Zn3 Zn 0.160 0.000 0.431 1
Zn4 Zn 0.174 0.500 0.007 1
Ir1 Ir 0.107 0.000 0.813 1
Ir2 Ir 0.157 0.500 0.255 1
```

Most intense lines, 5° ≤ 2θ ≤ 70°, by angle:
(0 0 2), 21.62°, rel. 42
(3 1 0), 30.03°, rel. 53
(2 0 2), 31.68°, rel. 28
(1 1 2), 34.20°, rel. 59
(3 1 -3), 34.88°, rel. 73
(6 0 -3), 35.72°, rel. 32
(3 1 1), 35.86°, rel. 63
(5 1 -2), 36.18°, rel. 100
(3 1 -4), 42.71°, rel. 54
(0 2 0), 44.06°, rel. 87

(10)
Theoretical XRD peak list of Np2Ni3P4Rh for Cu Kα (weighted mean of Kα1 and Kα2), from DFT lattice parameters and positions (PBE).
Peak positions follow from Bragg's law for the DFT cell and can differ from measured ones.

Structure:
```
data_Np2Ni3P4Rh
_chemical_formula_sum 'Np2 Ni3 P4 Rh1'
_symmetry_space_group_name_H-M 'P -4 m 2'
_symmetry_Int_Tables_number 115
_cell_length_a 4.027
_cell_length_b 4.027
_cell_length_c 9.147
_cell_angle_alpha 90.00
_cell_angle_beta 90.00
_cell_angle_gamma 90.00
loop_
_symmetry_equiv_pos_as_xyz
'x,y,z'
'y,-x,-z'
'-x,-y,z'
'-y,x,-z'
'-x,y,z'
'-y,-x,-z'
'x,-y,z'
'y,x,-z'
loop_
_atom_site_label
_atom_site_type_symbol
_atom_site_fract_x
_atom_site_fract_y
_atom_site_fract_z
_atom_site_occupancy
Np1 Np 0.000 0.500 0.239 1
Ni1 Ni 0.000 0.500 0.888 1
Ni2 Ni 0.500 0.500 0.500 1
P1 P 0.000 0.000 0.000 1
P2 P 0.000 0.500 0.643 1
P3 P 0.500 0.500 0.000 1
Rh1 Rh 0.000 0.000 0.500 1
```

Most intense lines, 5° ≤ 2θ ≤ 70°, by angle:
(1 0 1), 24.15°, rel. 68
(1 1 0), 31.42°, rel. 30
(1 0 3), 36.98°, rel. 77
(1 1 2), 37.20°, rel. 100
(2 0 0), 45.03°, rel. 49
(2 1 1), 51.74°, rel. 20
(1 0 5), 55.15°, rel. 21
(2 1 3), 59.63°, rel. 39
(2 0 4), 61.35°, rel. 13
(2 2 0), 65.57°, rel. 16

(11)
Theoretical XRD peak list of NaYZn17 for Cu Kα (weighted mean of Kα1 and Kα2), from DFT lattice parameters and positions (PBE).
Peak positions follow from Bragg's law for the DFT cell and can differ from measured ones.

Structure:
```
data_NaYZn17
_chemical_formula_sum 'Na3 Y3 Zn51'
_symmetry_space_group_name_H-M 'R 3 m'
_symmetry_Int_Tables_number 160
_symmetry_space_group_name_Hall 'R 3 -2"'
_cell_length_a 9.0110
_cell_length_b 9.0110
_cell_length_c 13.2010
_cell_angle_alpha 90.00
_cell_angle_beta 90.00
_cell_angle_gamma 120.00
loop_
_atom_site_label
_atom_site_type_symbol
_atom_site_fract_x
_atom_site_fract_y
_atom_site_fract_z
_atom_site_occupancy
Na1 Na 0.0000 0.0000 0.0000 1
Y1 Y 0.0000 0.0000 0.3222 1
Zn1 Zn 0.0000 0.0000 0.5587 1
Zn2 Zn 0.0000 0.0000 0.7602 1
Zn3 Zn 0.0020 0.3000 0.6582 1
Zn4 Zn 0.0036 0.5018 0.1568 1
Zn5 Zn 0.0073 0.5036 0.8114 1
Zn6 Zn 0.1715 0.3431 0.8390 1
```

Most intense lines, 5° ≤ 2θ ≤ 70°, by angle:
(1 0 1), 13.18°, rel. 21
(1 1 0), 19.70°, rel. 19
(3 0 0), 34.48°, rel. 31
(0 2 4), 35.63°, rel. 26
(2 2 0), 40.02°, rel. 61
(0 3 3), 40.28°, rel. 100
(0 0 6), 41.03°, rel. 50
(2 0 5), 41.29°, rel. 23
(2 2 3), 45.22°, rel. 93
(1 1 6), 45.90°, rel. 25

(12)
Theoretical XRD peak list of TbPrMg4 for Cu Kα (weighted mean of Kα1 and Kα2), from DFT lattice parameters and positions (PBE).
Peak positions follow from Bragg's law for the DFT cell and can differ from measured ones.

Structure:
```
data_TbPrMg4
_chemical_formula_sum 'Tb2 Pr2 Mg8'
_symmetry_space_group_name_H-M 'I m m m'
_symmetry_Int_Tables_number 71
_symmetry_space_group_name_Hall '-I 2 2'
_cell_length_a 5.282
_cell_length_b 6.695
_cell_length_c 9.160
_cell_angle_alpha 90.00
_cell_angle_beta 90.00
_cell_angle_gamma 90.00
loop_
_atom_site_label
_atom_site_type_symbol
_atom_site_fract_x
_atom_site_fract_y
_atom_site_fract_z
_atom_site_occupancy
Tb1 Tb 0.000 0.000 0.000 1
Pr1 Pr 0.000 0.500 0.000 1
Mg1 Mg 0.000 0.251 0.334 1
```

Most intense lines, 5° ≤ 2θ ≤ 70°, by angle:
(0 0 2), 19.39°, rel. 93
(1 2 1), 33.15°, rel. 100
(2 0 0), 33.92°, rel. 62
(2 0 2), 39.37°, rel. 16
(2 2 0), 43.64°, rel. 15
(0 2 4), 48.16°, rel. 35
(1 0 5), 52.92°, rel. 13
(2 2 4), 60.21°, rel. 36
(3 0 3), 60.70°, rel. 11
(1 4 3), 66.07°, rel. 12

(13)
Theoretical XRD peak list of Hg5Rh4 for Cu Kα (weighted mean of Kα1 and Kα2), from DFT lattice parameters and positions (PBE).
Peak positions follow from Bragg's law for the DFT cell and can differ from measured ones.

Structure:
```
data_Hg5Rh4
_chemical_formula_sum 'Hg10 Rh8'
_symmetry_space_group_name_H-M 'I 4/m m m'
_symmetry_Int_Tables_number 139
_symmetry_space_group_name_Hall '-I 4 2'
_cell_length_a 8.722
_cell_length_b 8.722
_cell_length_c 4.252
_cell_angle_alpha 90.00
_cell_angle_beta 90.00
_cell_angle_gamma 90.00
loop_
_atom_site_label
_atom_site_type_symbol
_atom_site_fract_x
_atom_site_fract_y
_atom_site_fract_z
_atom_site_occupancy
Hg1 Hg 0.000 0.000 0.000 1
Hg2 Hg 0.172 0.172 0.500 1
Rh1 Rh 0.000 0.348 0.000 1
```

Most intense lines, 5° ≤ 2θ ≤ 70°, by angle:
(1 1 0), 14.36°, rel. 4
(2 2 0), 28.96°, rel. 5
(2 1 1), 31.12°, rel. 8
(3 0 1), 37.47°, rel. 100
(0 0 2), 42.52°, rel. 18
(3 3 0), 44.05°, rel. 31
(2 2 2), 52.27°, rel. 2
(5 2 1), 61.24°, rel. 4
(3 3 2), 62.89°, rel. 22
(6 0 0), 64.06°, rel. 10